1.
This entry pairs a crystal structure of Na6LaTa3Si6O24 with its theoretical powder X-ray diffraction pattern. Radiation: Cu Kα (λ = 1.5418 Å). Structure: a DFT-relaxed cell (PBE, the Materials Project).
Lines closer than 0.1° are merged.

Crystal structure
```
data_Na6LaTa3Si6O24
_chemical_formula_sum 'Na6 La1 Ta3 Si6 O24'
_space_group_name_H-M_alt 'P 1'
_space_group_IT_number 1
_space_group_name_Hall 'P 1'
_cell_length_a 9.1745
_cell_length_b 9.1809
_cell_length_c 9.2043
_cell_angle_alpha 119.77
_cell_angle_beta 90.21
_cell_angle_gamma 119.66
loop_
_atom_site_label
_atom_site_fract_x
_atom_site_fract_y
_atom_site_fract_z
Na1 0.0000 0.0000 0.0000
Na2 0.0844 0.4976 0.2484
Na3 0.3938 0.1383 0.9284
Na4 0.5032 0.0061 0.5012
Na5 0.6117 0.8840 0.0915
Na6 0.8994 0.4966 0.7392
La1 0.6398 0.3063 0.3654
Ta1 0.1446 0.2937 0.8516
Ta2 0.3600 0.7110 0.6426
Ta3 0.8570 0.7162 0.1549
Si1 0.0556 0.8079 0.5596
Si2 0.2366 0.7816 0.0336
Si3 0.4519 0.5132 0.2493
Si4 0.5450 0.5113 0.7712
Si5 0.7494 0.2022 0.9469
Si6 0.9745 0.2072 0.4557
O1 0.0351 0.2108 0.6244
O2 0.0596 0.7871 0.0504
O3 0.1110 0.0228 0.7438
O4 0.1401 0.4301 0.4954
O5 0.1672 0.5514 0.9695
O6 0.2358 0.8057 0.5599
O7 0.2640 0.3843 0.0929
O8 0.2859 0.7930 0.8619
O9 0.3818 0.4094 0.8352
O10 0.4056 0.9433 0.2113
O11 0.4383 0.6712 0.4321
O12 0.4500 0.3335 0.2413
O13 0.4977 0.6372 0.7174
O14 0.5667 0.0133 0.7738
O15 0.5722 0.3443 0.6235
O16 0.6366 0.6460 0.2158
O17 0.7280 0.6878 0.9479
O18 0.7311 0.1887 0.1150
O19 0.7839 0.4244 0.0032
O20 0.7886 0.1853 0.4478
O21 0.9044 0.6221 0.5648
O22 0.9188 0.1906 0.9073
O23 0.9506 0.0111 0.2737
O24 0.9896 0.7732 0.3669
```

Main lines, sorted by position (2θ = 10–80°):
2θ (°), I/Imax
13.57, 14
19.25, 100
19.34, 47
27.29, 10
27.40, 12
27.51, 12
30.71, 41
30.85, 9
33.60, 22
33.74, 27
33.82, 16
46.23, 19

***

2.
This entry pairs a crystal structure of Li3Be with its theoretical powder X-ray diffraction pattern. Radiation: Cu Kα (λ = 1.5418 Å). Structure: a DFT-relaxed cell (PBE, the Materials Project).
Lines closer than 0.1° are merged.

Crystal structure
```
data_Li3Be
_chemical_formula_sum 'Li3 Be1'
_space_group_name_H-M_alt 'P 1'
_space_group_IT_number 1
_space_group_name_Hall 'P 1'
_cell_length_a 4.8145
_cell_length_b 4.8145
_cell_length_c 4.8145
_cell_angle_alpha 133.11
_cell_angle_beta 133.11
_cell_angle_gamma 68.48
loop_
_atom_site_label
_atom_site_fract_x
_atom_site_fract_y
_atom_site_fract_z
Li1 0.0000 0.0000 0.0000
Li2 0.2500 0.7500 0.5000
Li3 0.7500 0.2500 0.5000
Be1 0.5000 0.5000 0.0000
```

Main lines, sorted by position (2θ = 10–80°):
2θ (°), I/Imax
22.34, 1
25.81, 2
40.27, 100
45.59, 17
47.46, 31
67.92, 21
69.38, 10

***

3.
This entry pairs a crystal structure of MgBiF6 with its theoretical powder X-ray diffraction pattern. Radiation: Cu Kα (λ = 1.5418 Å). Structure: a DFT-relaxed cell (PBE, the Materials Project).
Lines closer than 0.1° are merged.

Crystal structure
```
data_MgBiF6
_chemical_formula_sum 'Mg1 Bi1 F6'
_space_group_name_H-M_alt 'P 1'
_space_group_IT_number 1
_space_group_name_Hall 'P 1'
_cell_length_a 5.7882
_cell_length_b 5.7882
_cell_length_c 5.7882
_cell_angle_alpha 58.09
_cell_angle_beta 58.09
_cell_angle_gamma 58.09
loop_
_atom_site_label
_atom_site_fract_x
_atom_site_fract_y
_atom_site_fract_z
Mg1 0.0000 0.0000 0.0000
Bi1 0.5000 0.5000 0.5000
F1 0.1438 0.3356 0.7589
F2 0.2411 0.8562 0.6644
F3 0.3356 0.7589 0.1438
F4 0.6644 0.2411 0.8562
F5 0.7589 0.1438 0.3356
F6 0.8562 0.6644 0.2411
```

Main lines, sorted by position (2θ = 10–80°):
2θ (°), I/Imax
18.51, 21
19.25, 59
22.05, 100
30.92, 27
31.85, 19
36.28, 14
37.09, 32
37.49, 15
44.98, 20
50.01, 40
51.26, 18
56.17, 12

***

4.
This entry pairs a crystal structure of TbSiPd2 with its theoretical powder X-ray diffraction pattern. Radiation: Cu Kα (λ = 1.5418 Å). Structure: a DFT-relaxed cell (PBE, the Materials Project).
Lines closer than 0.1° are merged.

Crystal structure
```
data_TbSiPd2
_chemical_formula_sum 'Tb4 Si4 Pd8'
_space_group_name_H-M_alt 'P 1'
_space_group_IT_number 1
_space_group_name_Hall 'P 1'
_cell_length_a 7.3856
_cell_length_b 6.9918
_cell_length_c 5.5718
_cell_angle_alpha 90.00
_cell_angle_beta 90.00
_cell_angle_gamma 90.00
loop_
_atom_site_label
_atom_site_fract_x
_atom_site_fract_y
_atom_site_fract_z
Tb1 0.0282 0.2500 0.1428
Tb2 0.4718 0.7500 0.6428
Tb3 0.5282 0.2500 0.3572
Tb4 0.9718 0.7500 0.8572
Si1 0.1225 0.7500 0.3561
Si2 0.3775 0.2500 0.8561
Si3 0.6225 0.7500 0.1439
Si4 0.8775 0.2500 0.6439
Pd1 0.1772 0.0513 0.5939
Pd2 0.1772 0.4487 0.5939
Pd3 0.3228 0.5513 0.0939
Pd4 0.3228 0.9487 0.0939
Pd5 0.6772 0.0513 0.9061
Pd6 0.6772 0.4487 0.9061
Pd7 0.8228 0.5513 0.4061
Pd8 0.8228 0.9487 0.4061
```

Main lines, sorted by position (2θ = 10–80°):
2θ (°), I/Imax
31.76, 71
32.58, 76
34.41, 53
35.36, 91
36.80, 100
38.99, 43
40.04, 74
42.02, 35
43.30, 29
43.86, 40
64.40, 55
77.48, 24

***

5.
This entry pairs a crystal structure of Sm2InAg with its theoretical powder X-ray diffraction pattern. Radiation: Cu Kα (λ = 1.5418 Å). Structure: a DFT-relaxed cell (PBE, the Materials Project).
Lines closer than 0.1° are merged.

Crystal structure
```
data_Sm2InAg
_chemical_formula_sum 'Sm2 In1 Ag1'
_space_group_name_H-M_alt 'P 1'
_space_group_IT_number 1
_space_group_name_Hall 'P 1'
_cell_length_a 5.3666
_cell_length_b 5.3666
_cell_length_c 5.3666
_cell_angle_alpha 60.00
_cell_angle_beta 60.00
_cell_angle_gamma 60.00
loop_
_atom_site_label
_atom_site_fract_x
_atom_site_fract_y
_atom_site_fract_z
Sm1 0.2500 0.2500 0.2500
Sm2 0.7500 0.7500 0.7500
In1 0.0000 0.0000 0.0000
Ag1 0.5000 0.5000 0.5000
```

Main lines, sorted by position (2θ = 10–80°):
2θ (°), I/Imax
23.44, 2
33.39, 100
41.20, 1
47.95, 18
54.04, 1
59.69, 37
70.14, 11
75.10, 1
79.95, 16

***

6.
This entry pairs a crystal structure of Sr2IN with its theoretical powder X-ray diffraction pattern. Radiation: Cu Kα (λ = 1.5418 Å). Structure: a DFT-relaxed cell (PBE, the Materials Project).
Lines closer than 0.1° are merged.

Crystal structure
```
data_Sr2IN
_chemical_formula_sum 'Sr2 I1 N1'
_space_group_name_H-M_alt 'P 1'
_space_group_IT_number 1
_space_group_name_Hall 'P 1'
_cell_length_a 8.1627
_cell_length_b 8.1627
_cell_length_c 8.1627
_cell_angle_alpha 28.59
_cell_angle_beta 28.59
_cell_angle_gamma 28.59
loop_
_atom_site_label
_atom_site_fract_x
_atom_site_fract_y
_atom_site_fract_z
Sr1 0.2231 0.2231 0.2231
Sr2 0.7769 0.7769 0.7769
I1 0.0000 0.0000 0.0000
N1 0.5000 0.5000 0.5000
```

Main lines, sorted by position (2θ = 10–80°):
2θ (°), I/Imax
25.80, 37
29.78, 100
31.95, 64
34.39, 24
40.15, 18
44.98, 41
54.88, 17
56.23, 13
57.46, 13
57.82, 33
73.58, 14
74.74, 11

***

7.
This entry pairs a crystal structure of Te3W2S with its theoretical powder X-ray diffraction pattern. Radiation: Cu Kα (λ = 1.5418 Å). Structure: a DFT-relaxed cell (PBE, the Materials Project).
Lines closer than 0.1° are merged.

Crystal structure
```
data_Te3W2S
_chemical_formula_sum 'Te6 W4 S2'
_space_group_name_H-M_alt 'P 1'
_space_group_IT_number 1
_space_group_name_Hall 'P 1'
_cell_length_a 3.4546
_cell_length_b 3.4546
_cell_length_c 39.4426
_cell_angle_alpha 90.00
_cell_angle_beta 90.00
_cell_angle_gamma 120.00
loop_
_atom_site_label
_atom_site_fract_x
_atom_site_fract_y
_atom_site_fract_z
Te1 0.0000 0.0000 0.0000
Te2 0.0000 0.0000 0.0943
Te3 0.0000 0.0000 0.3758
Te4 0.0000 0.0000 0.4701
Te5 0.3333 0.6667 0.1879
Te6 0.3333 0.6667 0.2822
W1 0.0000 0.0000 0.2351
W2 0.0000 0.0000 0.8593
W3 0.3333 0.6667 0.0472
W4 0.3333 0.6667 0.4230
S1 0.3333 0.6667 0.8215
S2 0.3333 0.6667 0.8972
```

Main lines, sorted by position (2θ = 10–80°):
2θ (°), I/Imax
11.22, 100
13.47, 16
29.89, 45
31.99, 14
33.93, 12
35.08, 90
36.38, 21
42.43, 51
44.16, 17
53.03, 34
65.17, 15
74.65, 16